[1]
Simulated powder X-ray diffraction pattern
Compound: NaCa2ZrSi2O9
Radiation: a wavelength of 1.5418 Å
Structure: a crystal structure in Alexandria, relaxed with PBE

Peak list (8 most intense, 10° ≤ 2θ ≤ 90°, in order of rising 2θ)
h k l	d_spacing	two_theta	Rel. int.
1 1 -1	5.859	15.12	39
0 3 1	3.312	26.92	51
2 0 1	3.047	29.31	94
2 0 -3	3.034	29.44	89
0 3 2	2.896	30.88	100
0 2 3	2.880	31.05	52
2 3 2	2.057	44.02	32
4 0 -2	1.880	48.43	39

Cell and atoms:
```
data_NaCa2ZrSi2O9
_chemical_formula_sum 'Na4 Ca8 Zr4 Si8 O36'
_symmetry_space_group_name_H-M 'P 1 21 1'
_symmetry_Int_Tables_number 4
_symmetry_space_group_name_Hall 'P 2yb'
_cell_length_a 7.5186
_cell_length_b 10.4897
_cell_length_c 10.9841
_cell_angle_alpha 90.00
_cell_angle_beta 109.76
_cell_angle_gamma 90.00
loop_
_atom_site_label
_atom_site_type_symbol
_atom_site_fract_x
_atom_site_fract_y
_atom_site_fract_z
_atom_site_occupancy
Na1 Na 0.0640 0.0000 0.3693 1
Na2 Na 0.2026 0.1600 0.1247 1
Ca1 Ca 0.0555 0.3788 0.3543 1
Ca2 Ca 0.1953 0.7793 0.1544 1
Ca3 Ca 0.3256 0.6554 0.8733 1
Ca4 Ca 0.4526 0.8918 0.6527 1
Zr1 Zr 0.3034 0.2896 0.8458 1
Zr2 Zr 0.4331 0.5240 0.6235 1
Si1 Si 0.0474 0.7032 0.4338 1
Si2 Si 0.1187 0.4611 0.0604 1
Si3 Si 0.3021 0.9621 0.9277 1
Si4 Si 0.3768 0.2054 0.5740 1
O1 O 0.0050 0.6830 0.7610 1
O2 O 0.0260 0.2250 0.7250 1
O3 O 0.1162 0.9472 0.9778 1
O4 O 0.1439 0.1828 0.5219 1
O5 O 0.1499 0.8287 0.5121 1
O6 O 0.1508 0.3476 0.9654 1
O7 O 0.1592 0.5681 0.4771 1
O8 O 0.1587 0.6048 0.0170 1
O9 O 0.2259 0.4303 0.2117 1
O10 O 0.2516 0.9237 0.7776 1
O11 O 0.2849 0.4559 0.7477 1
O12 O 0.2994 0.9586 0.2743 1
O13 O 0.3786 0.1081 0.9634 1
O14 O 0.3984 0.3409 0.5065 1
O15 O 0.4383 0.8482 0.0160 1
O16 O 0.4615 0.0808 0.5270 1
O17 O 0.4610 0.2148 0.7323 1
O18 O 0.4850 0.6835 0.7267 1
```

***

[2]
Simulated powder X-ray diffraction pattern
Compound: Sc2AgPd2
Radiation: a wavelength of 1.5418 Å
Structure: a crystal structure in Alexandria, relaxed with PBE

Peak list (8 most intense, 10° ≤ 2θ ≤ 90°, in order of rising 2θ)
h k l	d_spacing	two_theta	Rel. int.
2 1 0	3.366	26.48	22
0 0 1	3.314	26.90	36
2 0 1	2.487	36.11	22
3 1 0	2.380	37.80	75
2 1 1	2.362	38.10	100
3 1 1	1.933	47.00	37
3 1 2	1.360	69.06	24
5 2 1	1.288	73.54	16

Cell and atoms:
```
data_Sc2AgPd2
_chemical_formula_sum 'Sc4 Ag2 Pd4'
_symmetry_space_group_name_H-M 'P 4/m b m'
_symmetry_Int_Tables_number 127
_symmetry_space_group_name_Hall '-P 4 2ab'
_cell_length_a 7.5269
_cell_length_b 7.5269
_cell_length_c 3.3145
_cell_angle_alpha 90.00
_cell_angle_beta 90.00
_cell_angle_gamma 90.00
loop_
_atom_site_label
_atom_site_type_symbol
_atom_site_fract_x
_atom_site_fract_y
_atom_site_fract_z
_atom_site_occupancy
Sc1 Sc 0.1670 0.3330 0.0000 1
Ag1 Ag 0.0000 0.0000 0.5000 1
Pd1 Pd 0.1324 0.6324 0.5000 1
```